(1)
In2Pd5Pt2: computed X-ray powder pattern (Cu Kα (λ = 1.5418 Å)), based on a DFT-relaxed cell (PBE, Alexandria).
No peak broadening, texture or thermal motion is included.

Largest 10 diffraction maxima, sorted by position, 10 to 90 degrees two-theta:
2θ (°)	intensity
22.4	7
32.3	10
39.4	100
39.7	83
51.8	16
57.2	28
71.4	17
71.6	29
81.2	24
84.8	7

Atomic structure:
Lattice parameters (Å, degrees): 8.3025 4.5751 4.5751 60.06 90.00 90.00
Atoms (fractional coordinates):
In 0.0000 0.0000 0.0000
In 0.5000 0.3339 0.3339
Pd 0.0000 0.6665 0.6665
Pd 0.1702 0.3337 0.3337
Pd 0.3277 0.0007 0.0007
Pd 0.6723 0.0007 0.0007
Pd 0.8298 0.3337 0.3337
Pt 0.3291 0.6674 0.6674
Pt 0.6709 0.6674 0.6674

(2)
HoEr2Tm2In: computed X-ray powder pattern (Cu Kα (λ = 1.5418 Å)), based on a DFT-relaxed cell (PBE, Alexandria).
No peak broadening, texture or thermal motion is included.

Largest 10 diffraction maxima, sorted by position, 10 to 90 degrees two-theta:
2θ (°)	intensity
31.8	100
32.9	37
33.1	55
33.3	82
34.7	22
46.1	14
47.4	27
57.9	14
58.3	18
59.3	16

Atomic structure:
Lattice parameters (Å, degrees): 6.5254 9.8917 5.4120 90.00 90.00 90.00
Atoms (fractional coordinates):
Ho 0.0000 0.0000 0.0000
Ho 0.5000 0.5000 0.5000
Er 0.2174 0.1911 0.5000
Er 0.2826 0.6911 0.0000
Er 0.7174 0.3089 0.0000
Er 0.7826 0.8089 0.5000
Tm 0.2096 0.3642 0.0000
Tm 0.2904 0.8642 0.5000
Tm 0.7096 0.1358 0.5000
Tm 0.7904 0.6358 0.0000
In 0.0000 0.5000 0.5000
In 0.5000 0.0000 0.0000

(3)
Ni2BrCl: computed X-ray powder pattern (Cu Kα (λ = 1.5418 Å)), based on a DFT-relaxed cell (PBE, Alexandria).
No peak broadening, texture or thermal motion is included.

Largest 10 diffraction maxima, sorted by position, 10 to 90 degrees two-theta:
2θ (°)	intensity
12.2	100
30.3	9
33.6	75
41.4	55
51.6	35
53.2	14
55.4	25
63.0	11
68.2	11
85.7	9

Atomic structure:
Lattice parameters (Å, degrees): 3.5430 3.5430 21.6845 90.00 90.00 120.00
Atoms (fractional coordinates):
Ni 0.0000 0.0000 0.0000
Ni 0.0000 0.0000 0.2707
Ni 0.3333 0.6667 0.6667
Ni 0.3333 0.6667 0.9373
Ni 0.6667 0.3333 0.3333
Ni 0.6667 0.3333 0.6040
Br 0.0000 0.0000 0.5480
Br 0.3333 0.6667 0.2146
Br 0.6667 0.3333 0.8813
Cl 0.0000 0.0000 0.7150
Cl 0.3333 0.6667 0.3817
Cl 0.6667 0.3333 0.0484